# TlZnBF6
Calculated X-ray powder pattern, CuKα. Input: a crystal structure in Alexandria, relaxed with PBE.
No peak broadening, texture or thermal motion is included.

Structure:
Lattice parameters (Å, degrees): 5.0404 5.0404 6.0271 90.00 90.00 120.00
Positions (direct):
Tl: 0.0000 0.0000 0.0000
Zn: 0.3333 0.6667 0.5000
B: 0.6667 0.3333 0.5000
F: 0.4081 0.0603 0.6587
F: 0.4081 0.3477 0.3413
F: 0.6523 0.0603 0.3413
F: 0.6523 0.5919 0.6587
F: 0.9397 0.3477 0.6587
F: 0.9397 0.5919 0.3413

Top 10 peaks for 2θ = 10–80°, low angle first:
- 20.34°, I = 25, (1 0 0)
- 25.19°, I = 100, (1 0 1)
- 35.62°, I = 17, (1 1 0)
- 36.22°, I = 20, (1 0 2)
- 38.73°, I = 13, (1 1 1)
- 44.13°, I = 19, (2 0 1)
- 47.00°, I = 27, (2 -1 2)
- 49.98°, I = 14, (1 0 3)
- 57.95°, I = 19, (3 -1 1)
- 74.41°, I = 9, (3 -1 3)